RbV2PO8: theoretical X-ray powder pattern (Cu Kα (weighted mean of Kα1 and Kα2)), based on a structure optimized by DFT (PBE+U).
Peak positions follow from Bragg's law for the DFT cell and can differ from measured ones.

Peak list (10 most intense, 10° ≤ 2θ ≤ 80°, by intensity)
- 2θ 22.74, rel. 100
- 2θ 29.05, rel. 68
- 2θ 35.42, rel. 43
- 2θ 20.54, rel. 27
- 2θ 33.69, rel. 25
- 2θ 41.02, rel. 24
- 2θ 29.97, rel. 20
- 2θ 10.88, rel. 17
- 2θ 33.04, rel. 16
- 2θ 19.59, rel. 15

Structural model:
Lattice parameters (Å, degrees): 5.083 5.083 8.147 92.85 92.85 63.11
Positions (direct):
Rb1 0.000 0.000 0.000
V1 0.362 0.362 0.680
V2 0.638 0.638 0.320
P1 0.000 0.000 0.500
O1 0.195 0.195 0.550
O2 0.199 0.752 0.647
O3 0.248 0.801 0.353
O4 0.324 0.324 0.875
O5 0.676 0.676 0.125
O6 0.752 0.199 0.647
O7 0.801 0.248 0.353
O8 0.805 0.805 0.450